Computed X-ray diffraction stick pattern of BaHo2CuS4 for copper Kα, from a crystal structure in Alexandria, relaxed with PBE.
Lines closer than 0.1° are merged.

Largest 6 diffraction maxima, in order of rising 2θ, 2θ = 10–90°:
2theta, Rel. int.
23.74, 66
26.73, 100
30.80, 43
32.90, 80
40.74, 29
45.43, 47

Structural model:
```
BaHo2CuS4
1.0
1.995 -6.680 0.000
1.995 6.680 0.000
0.000 0.000 13.586
Ba Ho Cu S
2 4 2 8
Direct
0.114 0.886 0.750 Ba
0.886 0.114 0.250 Ba
0.372 0.628 0.557 Ho
0.372 0.628 0.943 Ho
0.628 0.372 0.057 Ho
0.628 0.372 0.443 Ho
0.156 0.844 0.250 Cu
0.844 0.156 0.750 Cu
0.000 0.000 0.000 S
0.000 0.000 0.500 S
0.265 0.735 0.114 S
0.265 0.735 0.386 S
0.433 0.567 0.750 S
0.567 0.433 0.250 S
0.735 0.265 0.614 S
0.735 0.265 0.886 S
```